Structure and theoretical X-ray diffraction stick pattern of SmLu2Hf (a PBE-relaxed structure; a wavelength of 1.5418 Å).

Cell and atoms:
```
data_SmLu2Hf
_cell_length_a 4.8125
_cell_length_b 4.8125
_cell_length_c 4.8140
_cell_angle_alpha 90.00
_cell_angle_beta 90.00
_cell_angle_gamma 90.00
_symmetry_space_group_name_H-M 'P 1'
_symmetry_Int_Tables_number 1
_symmetry_space_group_name_Hall 'P 1'
loop_
_atom_site_label
_atom_site_type_symbol
_atom_site_fract_x
_atom_site_fract_y
_atom_site_fract_z
Sm1 Sm 0.0000 0.0000 0.0000
Lu1 Lu 0.0000 0.5000 0.5000
Lu2 Lu 0.5000 0.0000 0.5000
Hf1 Hf 0.5000 0.5000 0.0000
```

Peak list (6 most intense, 10 to 80 degrees two-theta, sorted by position)
2theta	Rel. int.
32.21	100.0
37.37	50.4
53.88	35.5
64.18	41.9
67.40	12.1
79.69	5.7

Structure and theoretical X-ray diffraction stick pattern of Sm3Ho2Tm (a PBE-relaxed structure; a wavelength of 1.5418 Å).

Cell and atoms:
```
data_Sm3Ho2Tm
_cell_length_a 6.2104
_cell_length_b 6.2104
_cell_length_c 11.5501
_cell_angle_alpha 90.00
_cell_angle_beta 90.00
_cell_angle_gamma 120.00
_symmetry_space_group_name_H-M 'P 1'
_symmetry_Int_Tables_number 1
_symmetry_space_group_name_Hall 'P 1'
loop_
_atom_site_label
_atom_site_type_symbol
_atom_site_fract_x
_atom_site_fract_y
_atom_site_fract_z
Sm1 Sm 0.0000 0.3320 0.2500
Sm2 Sm 0.0000 0.6680 0.7500
Sm3 Sm 0.3320 0.0000 0.2500
Sm4 Sm 0.3320 0.3320 0.7500
Sm5 Sm 0.6680 0.0000 0.7500
Sm6 Sm 0.6680 0.6680 0.2500
Ho1 Ho 0.3333 0.6667 0.0000
Ho2 Ho 0.3333 0.6667 0.5000
Ho3 Ho 0.6667 0.3333 0.0000
Ho4 Ho 0.6667 0.3333 0.5000
Tm1 Tm 0.0000 0.0000 0.0000
Tm2 Tm 0.0000 0.0000 0.5000
```

Peak list (12 most intense, 10 to 80 degrees two-theta, sorted by position)
2theta	Rel. int.
28.75	9.8
29.79	37.6
30.97	33.3
32.74	100.0
37.20	20.8
42.76	6.8
49.16	9.4
50.94	25.0
56.22	21.6
60.82	29.3
61.88	16.2
79.27	8.0

Structure and theoretical X-ray diffraction stick pattern of La2GaOs (a PBE-relaxed structure; a wavelength of 1.5418 Å).

Cell and atoms:
```
data_La2GaOs
_cell_length_a 6.2548
_cell_length_b 4.0463
_cell_length_c 8.7959
_cell_angle_alpha 90.00
_cell_angle_beta 110.56
_cell_angle_gamma 90.00
_symmetry_space_group_name_H-M 'P 1'
_symmetry_Int_Tables_number 1
_symmetry_space_group_name_Hall 'P 1'
loop_
_atom_site_label
_atom_site_type_symbol
_atom_site_fract_x
_atom_site_fract_y
_atom_site_fract_z
La1 La 0.1914 0.2500 0.4070
La2 La 0.2716 0.7500 0.0490
La3 La 0.7284 0.2500 0.9510
La4 La 0.8086 0.7500 0.5930
Ga1 Ga 0.3460 0.7500 0.7140
Ga2 Ga 0.6540 0.2500 0.2860
Os1 Os 0.1258 0.2500 0.7850
Os2 Os 0.8742 0.7500 0.2150
```

Peak list (12 most intense, 10 to 80 degrees two-theta, sorted by position)
2theta	Rel. int.
15.15	30.8
21.59	12.1
30.59	44.4
30.73	18.5
30.95	100.0
37.97	83.8
38.10	38.5
40.92	27.1
44.80	24.4
52.15	14.0
55.22	16.7
62.28	16.5

Structure and theoretical X-ray diffraction stick pattern of AgH4NCl2 (a PBE-relaxed structure; a wavelength of 1.5418 Å).

Cell and atoms:
```
data_AgH4NCl2
_cell_length_a 8.1011
_cell_length_b 4.0489
_cell_length_c 8.0349
_cell_angle_alpha 90.00
_cell_angle_beta 90.00
_cell_angle_gamma 90.00
_symmetry_space_group_name_H-M 'P 1'
_symmetry_Int_Tables_number 1
_symmetry_space_group_name_Hall 'P 1'
loop_
_atom_site_label
_atom_site_type_symbol
_atom_site_fract_x
_atom_site_fract_y
_atom_site_fract_z
Ag1 Ag 0.0000 0.2438 0.0000
Ag2 Ag 0.5000 0.7562 0.5000
H1 H 0.0000 0.5731 0.4760
H2 H 0.0000 0.7490 0.2856
H3 H 0.1055 0.9274 0.4453
H4 H 0.3945 0.0726 0.9453
H5 H 0.5000 0.2510 0.7856
H6 H 0.5000 0.4269 0.9760
H7 H 0.6055 0.0726 0.9453
H8 H 0.8945 0.9274 0.4453
N1 N 0.0000 0.7931 0.4122
N2 N 0.5000 0.2069 0.9122
Cl1 Cl 0.2134 0.7440 0.0394
Cl2 Cl 0.2866 0.2560 0.5394
Cl3 Cl 0.7134 0.2560 0.5394
Cl4 Cl 0.7866 0.7440 0.0394
```

Peak list (12 most intense, 10 to 80 degrees two-theta, sorted by position)
2theta	Rel. int.
15.53	91.5
22.13	58.7
24.60	24.3
33.23	100.0
35.30	15.6
40.14	13.7
44.76	15.5
46.30	19.7
46.42	21.9
47.67	11.6
50.48	10.2
75.13	11.2

Structure and theoretical X-ray diffraction stick pattern of AlCu3Si3 (a PBE-relaxed structure; a wavelength of 1.5418 Å).

Cell and atoms:
```
data_AlCu3Si3
_cell_length_a 3.8868
_cell_length_b 5.9352
_cell_length_c 8.6746
_cell_angle_alpha 90.00
_cell_angle_beta 90.00
_cell_angle_gamma 90.00
_symmetry_space_group_name_H-M 'P 1'
_symmetry_Int_Tables_number 1
_symmetry_space_group_name_Hall 'P 1'
loop_
_atom_site_label
_atom_site_type_symbol
_atom_site_fract_x
_atom_site_fract_y
_atom_site_fract_z
Al1 Al 0.2500 0.2500 0.2048
Al2 Al 0.7500 0.7500 0.7952
Cu1 Cu 0.2500 0.0033 0.9082
Cu2 Cu 0.2500 0.4967 0.9082
Cu3 Cu 0.2500 0.7500 0.4201
Cu4 Cu 0.7500 0.2500 0.5799
Cu5 Cu 0.7500 0.5033 0.0918
Cu6 Cu 0.7500 0.9967 0.0918
Si1 Si 0.2500 0.0157 0.6273
Si2 Si 0.2500 0.4843 0.6273
Si3 Si 0.2500 0.7500 0.1379
Si4 Si 0.7500 0.2500 0.8621
Si5 Si 0.7500 0.5157 0.3727
Si6 Si 0.7500 0.9843 0.3727
```

Peak list (12 most intense, 10 to 80 degrees two-theta, sorted by position)
2theta	Rel. int.
10.20	26.6
30.89	19.5
31.87	29.5
34.49	33.9
38.82	16.4
39.60	100.0
41.65	21.2
46.74	40.3
48.04	30.9
49.90	74.0
62.61	15.5
64.39	15.2

Structure and theoretical X-ray diffraction stick pattern of Mg7Tl12In (a PBE-relaxed structure; a wavelength of 1.5418 Å).

Cell and atoms:
```
data_Mg7Tl12In
_cell_length_a 10.5085
_cell_length_b 10.5085
_cell_length_c 10.5085
_cell_angle_alpha 116.32
_cell_angle_beta 116.32
_cell_angle_gamma 116.32
_symmetry_space_group_name_H-M 'P 1'
_symmetry_Int_Tables_number 1
_symmetry_space_group_name_Hall 'P 1'
loop_
_atom_site_label
_atom_site_type_symbol
_atom_site_fract_x
_atom_site_fract_y
_atom_site_fract_z
Mg1 Mg 0.0000 0.0000 0.0000
Mg2 Mg 0.1647 0.4609 0.3914
Mg3 Mg 0.3914 0.1647 0.4609
Mg4 Mg 0.4609 0.3914 0.1647
Mg5 Mg 0.5391 0.6086 0.8353
Mg6 Mg 0.6086 0.8353 0.5391
Mg7 Mg 0.8353 0.5391 0.6086
Tl1 Tl 0.0127 0.0730 0.3639
Tl2 Tl 0.0730 0.3639 0.0127
Tl3 Tl 0.1352 0.5101 0.6872
Tl4 Tl 0.3128 0.8648 0.4899
Tl5 Tl 0.3639 0.0127 0.0730
Tl6 Tl 0.4899 0.3128 0.8648
Tl7 Tl 0.5101 0.6872 0.1352
Tl8 Tl 0.6361 0.9873 0.9270
Tl9 Tl 0.6872 0.1352 0.5101
Tl10 Tl 0.8648 0.4899 0.3128
Tl11 Tl 0.9270 0.6361 0.9873
Tl12 Tl 0.9873 0.9270 0.6361
In1 In 0.5000 0.5000 0.5000
```

Peak list (12 most intense, 10 to 80 degrees two-theta, sorted by position)
2theta	Rel. int.
25.35	100.0
29.09	19.6
31.40	9.4
32.43	9.9
35.49	8.2
36.02	46.8
36.28	41.7
42.76	8.8
44.78	12.1
52.06	10.0
55.24	8.2
58.94	10.4